# 1
Simulated powder XRD pattern of BaCa2MgAu4 for copper Kα, from DFT lattice parameters and positions (PBE).

The 10 most intense peaks (2θ from 10° to 90°), by intensity:
hkl, d (Å), 2theta, intensity
1 1 0, 2.513, 35.7, 100
0 1 8, 2.773, 32.3, 58
1 0 4, 3.724, 23.9, 55
1 0 7, 2.989, 29.9, 43
1 1 15, 1.526, 60.7, 38
0 1 11, 2.242, 40.2, 31
0 1 5, 3.471, 25.7, 21
3 0 0, 1.451, 64.2, 18
2 0 8, 1.862, 48.9, 18
1 2 8, 1.496, 62.0, 18

Structural model:
a b c (Å): 5.0252 5.0252 28.7812
angles (deg): 90.00 90.00 120.00
Space group R-3m (No. 166, hexagonal axes)
Inequivalent atoms, fractional coordinates:
Ba  0.0000  0.0000  0.0000 (multiplicity 3)
Ca  0.0000  0.0000  0.2339 (multiplicity 6)
Mg  0.0000  0.0000  0.5000 (multiplicity 3)
Au  0.0000  0.0000  0.1296 (multiplicity 6)
Au  0.0000  0.0000  0.4020 (multiplicity 6)

---

# 2
Simulated powder XRD pattern of Tb3Y2 for copper Kα, from DFT lattice parameters and positions (PBE).

The 10 most intense peaks (2θ from 10° to 90°), by intensity:
hkl, d (Å), 2theta, intensity
2 4 -1, 2.869, 31.2, 100
1 1 -2, 2.708, 33.1, 47
1 5 1, 2.483, 36.2, 43
0 8 0, 2.783, 32.2, 40
0 4 1, 3.602, 24.7, 35
1 3 1, 2.774, 32.3, 30
1 9 -2, 1.832, 49.8, 18
2 0 0, 2.899, 30.8, 14
3 5 -3, 1.610, 57.2, 14
3 1 0, 1.925, 47.2, 14

Structural model:
a b c (Å): 6.7439 22.2610 5.4952
angles (deg): 90.00 120.70 90.00
Space group C2/m (No. 12)
Inequivalent atoms, fractional coordinates:
Tb  0.1770  0.1125  0.3394 (multiplicity 8)
Tb  0.2143  0.0000  0.8828 (multiplicity 4)
Y  0.0000  0.3699  0.0000 (multiplicity 4)
Y  0.2500  0.2500  0.0000 (multiplicity 4)

---

# 3
Simulated powder XRD pattern of Pm2Sc4Ge3O2 for copper Kα, from DFT lattice parameters and positions (PBE).

The 10 most intense peaks (2θ from 10° to 90°), by intensity:
hkl, d (Å), 2theta, intensity
1 1 6, 2.399, 37.5, 100
2 0 0, 2.152, 42.0, 74
1 1 2, 2.945, 30.4, 68
1 0 7, 2.639, 34.0, 65
1 1 0, 3.043, 29.4, 52
1 0 3, 3.767, 23.6, 42
2 1 7, 1.668, 55.1, 31
0 0 8, 2.924, 30.6, 31
3 1 6, 1.285, 73.7, 26
2 0 8, 1.733, 52.8, 25

Structural model:
a b c (Å): 4.3031 4.3031 23.3913
angles (deg): 90.00 90.00 90.00
Space group I4/mmm (No. 139)
Inequivalent atoms, fractional coordinates:
Pm  0.0000  0.0000  0.1949 (multiplicity 4)
Sc  0.0000  0.5000  0.0776 (multiplicity 8)
Ge  0.0000  0.0000  0.3312 (multiplicity 4)
Ge  0.0000  0.0000  0.5000 (multiplicity 2)
O  0.0000  0.0000  0.0870 (multiplicity 4)

---

# 4
Simulated powder XRD pattern of BaUAgO5 for copper Kα, from DFT lattice parameters and positions (PBE).

The 10 most intense peaks (2θ from 10° to 90°), by intensity:
hkl, d (Å), 2theta, intensity
1 1 -2, 3.683, 24.2, 100
1 3 0, 3.087, 28.9, 99
0 2 2, 3.118, 28.6, 73
2 0 0, 3.230, 27.6, 70
1 1 0, 5.508, 16.1, 36
1 1 2, 2.817, 31.8, 35
2 2 -2, 2.613, 34.3, 32
3 3 0, 1.836, 49.7, 28
1 3 -4, 1.767, 51.7, 26
1 5 -2, 1.858, 49.0, 24

Structural model:
a b c (Å): 6.8336 10.5436 8.1806
angles (deg): 90.00 109.05 90.00
Space group C2/c (No. 15)
Inequivalent atoms, fractional coordinates:
Ba  0.0000  0.1783  0.2500 (multiplicity 4)
U  0.0000  0.5000  0.0000 (multiplicity 4)
Ag  0.0000  0.1732  0.7500 (multiplicity 4)
O  0.0000  0.4355  0.2500 (multiplicity 4)
O  0.0674  0.3133  0.5756 (multiplicity 8)
O  0.1915  0.0301  0.9312 (multiplicity 8)

---

# 5
Simulated powder XRD pattern of KScAs2H2O8 for copper Kα, from DFT lattice parameters and positions (PBE).

The 10 most intense peaks (2θ from 10° to 90°), by intensity:
hkl, d (Å), 2theta, intensity
2 2 -1, 3.346, 26.6, 100
1 1 2, 3.245, 27.5, 70
2 0 0, 4.080, 21.8, 58
1 1 -1, 6.042, 14.7, 47
1 1 -3, 2.976, 30.0, 47
1 1 0, 6.483, 13.7, 46
1 3 1, 2.929, 30.5, 41
1 1 -2, 4.185, 21.2, 39
1 3 -1, 3.200, 27.9, 37
0 2 1, 4.556, 19.5, 30

Structural model:
a b c (Å): 8.6707 10.6721 9.2992
angles (deg): 90.00 109.74 90.00
Space group C2/c (No. 15)
Inequivalent atoms, fractional coordinates:
K  0.2500  0.2500  0.0000 (multiplicity 4)
Sc  0.0000  0.1449  0.2500 (multiplicity 4)
As  0.2220  0.0947  0.6380 (multiplicity 8)
H  0.1962  0.4888  0.5515 (multiplicity 8)
O  0.0528  0.1394  0.4896 (multiplicity 8)
O  0.1476  0.4917  0.4359 (multiplicity 8)
O  0.1792  0.9999  0.2686 (multiplicity 8)
O  0.1797  0.2778  0.2632 (multiplicity 8)

---

# 6
Simulated powder XRD pattern of Na3AcEr2O6 for copper Kα, from DFT lattice parameters and positions (PBE).

The 10 most intense peaks (2θ from 10° to 90°), by intensity:
hkl, d (Å), 2theta, intensity
2 0 -1, 5.649, 15.7, 100
3 1 0, 2.878, 31.1, 63
1 1 -2, 2.455, 36.6, 51
1 1 1, 2.987, 29.9, 38
6 0 0, 2.533, 35.4, 27
4 0 -2, 2.825, 31.7, 21
4 0 1, 3.060, 29.2, 19
5 1 2, 1.777, 51.4, 18
7 1 -2, 1.750, 52.3, 17
3 1 -3, 1.882, 48.4, 16

Structural model:
a b c (Å): 15.5191 3.4935 6.9038
angles (deg): 90.00 101.63 90.00
Space group C2/m (No. 12)
Inequivalent atoms, fractional coordinates:
Na  0.0000  0.0000  0.0000 (multiplicity 2)
Na  0.1787  0.5000  0.3387 (multiplicity 4)
Ac  0.0000  0.0000  0.5000 (multiplicity 2)
Er  0.1697  0.5000  0.8468 (multiplicity 4)
O  0.0196  0.5000  0.7594 (multiplicity 4)
O  0.1644  0.0000  0.6216 (multiplicity 4)
O  0.1807  0.0000  0.0667 (multiplicity 4)

---

- Number 5 is which compound?
  KScAs2H2O8